Starting from DFT lattice parameters and positions (PBE), the X-ray powder pattern of LaThSN was simulated for Cu Kα, 1.54184 Å.

Most intense lines, 10 to 80 degrees two-theta, by angle:
- 2θ = 12.97°, intensity 14.1
- 2θ = 26.12°, intensity 18.0
- 2θ = 27.23°, intensity 15.1
- 2θ = 30.27°, intensity 100.0
- 2θ = 38.09°, intensity 38.4
- 2θ = 48.12°, intensity 23.5
- 2θ = 48.74°, intensity 18.6
- 2θ = 55.57°, intensity 14.7
- 2θ = 57.91°, intensity 16.4
- 2θ = 78.54°, intensity 13.7

Cell and atoms:
```
LaThSN
1.0
3.7817 0.0000 0.0000
-1.8908 3.2750 0.0000
0.0000 0.0000 6.8237
La Th S N
1 1 1 1
Cartesian
0.0000 0.0000 0.0000 La
1.8908 1.0917 2.8662 Th
0.0000 2.1833 4.8171 S
0.0000 2.1833 1.5377 N
```

***

Starting from DFT lattice parameters and positions (PBE), the X-ray powder pattern of La2ScZnN was simulated for Cu Kα, 1.54184 Å.

Most intense lines, 10 to 80 degrees two-theta, by angle:
- 2θ = 20.78°, intensity 15.2
- 2θ = 24.02°, intensity 14.4
- 2θ = 31.96°, intensity 100.0
- 2θ = 34.22°, intensity 47.9
- 2θ = 40.37°, intensity 10.8
- 2θ = 42.28°, intensity 13.1
- 2θ = 49.18°, intensity 21.3
- 2θ = 55.47°, intensity 26.4
- 2θ = 59.86°, intensity 32.6
- 2θ = 66.82°, intensity 12.9

Cell and atoms:
```
La2ScZnN
1.0
5.2403 0.0000 0.0000
0.0000 5.2403 0.0000
0.0000 0.0000 4.2753
La Sc Zn N
2 1 1 1
Cartesian
0.0000 2.6202 0.0000 La
2.6202 0.0000 0.0000 La
0.0000 0.0000 2.1376 Sc
2.6202 2.6202 2.1376 Zn
0.0000 0.0000 0.0000 N
```

***

Starting from DFT lattice parameters and positions (PBE), the X-ray powder pattern of LaZrSeN2 was simulated for Cu Kα, 1.54184 Å.

Most intense lines, 10 to 80 degrees two-theta, by angle:
- 2θ = 26.82°, intensity 72.9
- 2θ = 29.49°, intensity 100.0
- 2θ = 34.01°, intensity 49.1
- 2θ = 34.14°, intensity 38.8
- 2θ = 42.19°, intensity 52.9
- 2θ = 45.62°, intensity 61.2
- 2θ = 50.70°, intensity 24.9
- 2θ = 55.26°, intensity 46.4
- 2θ = 71.92°, intensity 28.5
- 2θ = 79.56°, intensity 24.4

Cell and atoms:
```
LaZrSeN2
1.0
4.2835 0.0000 0.0000
0.0000 4.2835 0.0000
0.0000 0.0000 5.2722
La Zr Se N
1 1 1 2
Cartesian
0.0000 0.0000 0.0000 La
2.1418 2.1418 2.6361 Zr
2.1418 2.1418 0.0000 Se
0.0000 2.1418 2.6361 N
2.1418 0.0000 2.6361 N
```

***

Starting from DFT lattice parameters and positions (PBE), the X-ray powder pattern of La4SiN was simulated for Cu Kα, 1.54184 Å.

Most intense lines, 10 to 80 degrees two-theta, by angle:
- 2θ = 21.98°, intensity 19.5
- 2θ = 27.87°, intensity 100.0
- 2θ = 29.75°, intensity 15.6
- 2θ = 31.23°, intensity 30.3
- 2θ = 32.51°, intensity 21.1
- 2θ = 34.25°, intensity 29.8
- 2θ = 43.57°, intensity 19.9
- 2θ = 48.28°, intensity 15.3
- 2θ = 56.59°, intensity 15.2
- 2θ = 57.52°, intensity 14.9

Cell and atoms:
```
La4SiN
1.0
5.2367 0.0000 0.0000
0.0000 10.0270 0.0000
0.0000 0.0000 6.8419
La Si N
8 2 2
Cartesian
1.3092 0.4974 1.3418 La
1.3092 2.5068 4.8746 La
1.3092 4.5161 1.3418 La
1.3092 7.5203 4.1949 La
3.9275 2.5068 2.6470 La
3.9275 5.5109 5.5001 La
3.9275 7.5203 1.9672 La
3.9275 9.5296 5.5001 La
1.3092 7.5203 0.3491 Si
3.9275 2.5068 6.4927 Si
1.3092 2.5068 2.5504 N
3.9275 7.5203 4.2915 N
```

***

Starting from DFT lattice parameters and positions (PBE), the X-ray powder pattern of LaSi4N7 was simulated for Cu Kα, 1.54184 Å.

Most intense lines, 10 to 80 degrees two-theta, by angle:
- 2θ = 18.56°, intensity 14.5
- 2θ = 19.79°, intensity 18.4
- 2θ = 22.73°, intensity 12.9
- 2θ = 25.04°, intensity 22.5
- 2θ = 28.40°, intensity 29.1
- 2θ = 29.30°, intensity 100.0
- 2θ = 34.30°, intensity 15.5
- 2θ = 37.07°, intensity 15.2
- 2θ = 47.35°, intensity 12.7
- 2θ = 53.24°, intensity 11.4

Cell and atoms:
```
LaSi4N7
1.0
11.7960 0.0000 0.0000
0.0000 5.2286 0.0000
0.0000 0.0000 4.8505
La Si N
2 8 14
Cartesian
0.0000 1.0395 0.0000 La
5.8980 4.1891 2.4253 La
1.4890 4.2815 2.2338 Si
2.9539 1.7100 2.2194 Si
2.9441 3.5186 4.6447 Si
4.4090 0.9471 4.6591 Si
7.3870 0.9471 4.6591 Si
8.8422 1.7100 2.2194 Si
8.8519 3.5186 4.6447 Si
10.3070 4.2815 2.2338 Si
0.0000 3.6111 1.6917 N
1.5162 4.2424 3.9733 N
1.6329 0.7060 1.7903 N
2.7805 3.3079 1.5284 N
3.1176 1.9207 3.9537 N
4.2651 4.5226 4.2155 N
4.3818 0.9862 1.5480 N
5.8980 1.6175 4.1170 N
7.4142 0.9862 1.5480 N
7.5309 4.5226 4.2155 N
8.6785 1.9207 3.9537 N
9.0156 3.3079 1.5284 N
10.1631 0.7060 1.7903 N
10.2798 4.2424 3.9733 N
```

***

Starting from DFT lattice parameters and positions (PBE), the X-ray powder pattern of LaSm2SiN4 was simulated for Cu Kα, 1.54184 Å.

Most intense lines, 10 to 80 degrees two-theta, by angle:
- 2θ = 27.12°, intensity 80.8
- 2θ = 30.05°, intensity 33.3
- 2θ = 30.36°, intensity 43.5
- 2θ = 30.73°, intensity 100.0
- 2θ = 34.45°, intensity 23.9
- 2θ = 35.30°, intensity 45.4
- 2θ = 37.72°, intensity 50.0
- 2θ = 46.91°, intensity 35.1
- 2θ = 49.19°, intensity 27.7
- 2θ = 52.06°, intensity 39.2

Cell and atoms:
```
LaSm2SiN4
1.0
1.7389 -5.8877 0.0000
1.7389 5.8877 0.0000
0.0000 0.0000 11.8940
La Sm Si N
2 4 2 8
Cartesian
1.7389 4.8339 8.9205 La
1.7389 -4.8339 2.9735 La
1.7389 1.5558 6.4564 Sm
1.7389 1.5558 11.3846 Sm
1.7389 -1.5558 0.5094 Sm
1.7389 -1.5558 5.4376 Sm
1.7389 3.7698 2.9735 Si
1.7389 -3.7698 8.9205 Si
0.0000 0.0000 0.0000 N
0.0000 0.0000 5.9470 N
1.7389 2.7189 1.5869 N
1.7389 2.7189 4.3601 N
1.7389 1.1581 8.9205 N
1.7389 -1.1581 2.9735 N
1.7389 -2.7189 7.5340 N
1.7389 -2.7189 10.3071 N
```

***

Starting from DFT lattice parameters and positions (PBE), the X-ray powder pattern of La4SiSnN was simulated for Cu Kα, 1.54184 Å.

Most intense lines, 10 to 80 degrees two-theta, by angle:
- 2θ = 10.39°, intensity 20.1
- 2θ = 27.79°, intensity 83.7
- 2θ = 27.93°, intensity 82.6
- 2θ = 31.52°, intensity 53.7
- 2θ = 32.03°, intensity 35.5
- 2θ = 33.34°, intensity 59.3
- 2θ = 33.46°, intensity 58.8
- 2θ = 36.78°, intensity 100.0
- 2θ = 49.21°, intensity 61.5
- 2θ = 60.82°, intensity 18.6

Cell and atoms:
```
La4SiSnN
1.0
3.4461 -8.5138 0.0000
3.4461 8.5138 0.0000
0.0000 0.0000 6.9308
La Si Sn N
8 2 2 2
Cartesian
1.7231 4.2569 0.0000 La
1.7231 4.2569 3.4654 La
3.4461 7.4207 5.1981 La
3.4461 1.4309 5.1981 La
1.7231 -4.2569 0.0000 La
1.7231 -4.2569 3.4654 La
3.4461 -1.4309 1.7327 La
3.4461 -7.4207 1.7327 La
3.4461 6.5409 1.7327 Si
3.4461 -6.5409 5.1981 Si
3.4461 1.8638 1.7327 Sn
3.4461 -1.8638 5.1981 Sn
3.4461 3.8371 5.1981 N
3.4461 -3.8371 1.7327 N
```

***

Starting from DFT lattice parameters and positions (PBE), the X-ray powder pattern of LaSm5N6 was simulated for Cu Kα, 1.54184 Å.

Most intense lines, 10 to 80 degrees two-theta, by angle:
- 2θ = 30.27°, intensity 100.0
- 2θ = 35.09°, intensity 74.1
- 2θ = 50.47°, intensity 51.4
- 2θ = 59.99°, intensity 45.6
- 2θ = 62.96°, intensity 17.3
- 2θ = 74.17°, intensity 7.9

Cell and atoms:
```
LaSm5N6
1.0
3.1321 -5.4250 0.0000
3.1321 5.4250 0.0000
-2.0870 0.0000 5.9039
La Sm N
1 5 6
Cartesian
0.0000 0.0000 0.0000 La
2.0886 3.6038 2.9519 Sm
3.1321 1.8058 0.0000 Sm
2.0886 0.0000 2.9519 Sm
3.1321 -1.8058 0.0000 Sm
2.0886 -3.6038 2.9519 Sm
1.0616 1.8384 1.4925 N
0.0364 0.0000 4.4167 N
1.0616 -1.8384 1.4925 N
3.1156 1.8384 4.4114 N
4.1408 0.0000 1.4872 N
3.1156 -1.8384 4.4114 N
```